This entry pairs a crystal structure of GaNiBiO4 with its theoretical powder diffractogram. Radiation: Cu Kα X-rays. Structure: a PBE+U-relaxed structure.

Atomic structure:
Cell: 6.338 6.338 6.338 Å, 119.35 119.02 91.42°
Fractional coordinates of all 14 atoms:
Ga (0.369, 0.119, 0.250)
Ga (0.631, 0.881, 0.750)
Ni (0.000, 0.000, 0.500)
Ni (0.000, 0.500, 0.000)
Bi (0.000, 0.500, 0.500)
Bi (0.500, 0.500, 0.000)
O (0.231, 0.235, 0.995)
O (0.236, 0.220, 0.484)
O (0.236, 0.753, 0.016)
O (0.260, 0.765, 0.495)
O (0.740, 0.235, 0.505)
O (0.764, 0.247, 0.984)
O (0.764, 0.780, 0.516)
O (0.769, 0.765, 0.005)

Main lines, most intense first (15 to 90 degrees two-theta):
2theta	intensity
32.78	100
17.10	61
33.44	46
58.25	37
39.74	25
34.59	24